1.
# Ca2Ni10H
Calculated X-ray powder pattern, Cu Ka. Input: a crystal structure in the Materials Project, relaxed with GGA-PBE.

a = 5.035 Å, b = 5.035 Å, c = 7.807 Å
α = 90.00°, β = 90.00°, γ = 121.41°
Atoms (fractional coordinates):
Ca 0.000 0.000 0.000
Ca 0.000 0.000 0.500
Ni 0.000 0.500 0.256
Ni 0.000 0.500 0.744
Ni 0.314 0.686 0.000
Ni 0.342 0.658 0.500
Ni 0.500 0.000 0.256
Ni 0.500 0.000 0.744
Ni 0.500 0.500 0.243
Ni 0.500 0.500 0.757
Ni 0.658 0.342 0.500
Ni 0.686 0.314 0.000
H 0.500 0.500 0.000

The 6 most intense peaks (10° ≤ 2θ ≤ 90°), by intensity:
2theta	d (Å)	I/Imax
42.75	2.115	100
48.35	1.882	63
43.43	2.083	50
46.53	1.952	47
20.67	4.297	45
20.22	4.391	28

---

2.
# GaSi3
Calculated X-ray powder pattern, Cu Ka. Input: a crystal structure in the Materials Project, relaxed with GGA-PBE.

a = 4.471 Å, b = 4.471 Å, c = 4.471 Å
α = 60.00°, β = 60.00°, γ = 60.00°
Atoms (fractional coordinates):
Ga 0.000 0.000 0.000
Si 0.250 0.250 0.250
Si 0.500 0.500 0.500
Si 0.750 0.750 0.750

The 6 most intense peaks (10° ≤ 2θ ≤ 90°), by intensity:
2theta	d (Å)	I/Imax
40.35	2.235	100
73.36	1.291	33
24.39	3.650	19
58.39	1.581	16
87.22	1.118	11
28.23	3.161	10